Theoretical PXRD pattern
Compound: ScFeNi6
Radiation: Cu Kα, 1.54184 Å
Structure: a structure optimized by DFT (PBE)
Lines closer than 0.1° are merged.

Largest 10 diffraction maxima, in order of rising 2θ, 10° ≤ 2θ ≤ 90°:
- 2θ 15.0, I = 9, hkl 1 1 0
- 2θ 24.5, I = 9, hkl 0 2 2
- 2θ 43.2, I = 1000, hkl 2 4 0
- 2θ 50.2, I = 310, hkl 0 4 4
- 2θ 50.4, I = 153, hkl 4 0 0
- 2θ 73.7, I = 42, hkl 0 0 8
- 2θ 73.8, I = 45, hkl 0 8 0
- 2θ 73.9, I = 173, hkl 4 4 4
- 2θ 89.5, I = 203, hkl 2 8 4
- 2θ 89.8, I = 101, hkl 6 4 0

Crystal structure
Cell lengths 7.2382, 10.2702, 10.2827 Å; angles 90.00, 90.00, 90.00 degrees
Space group Cmmm (No. 65)
Asymmetric unit:
Sc (0.0000, 0.0000, 0.2488) [4 per cell]
Sc (0.0000, 0.2456, 0.5000) [4 per cell]
Fe (0.0000, 0.2434, 0.0000) [4 per cell]
Fe (0.0000, 0.5000, 0.2475) [4 per cell]
Ni (0.0000, 0.0000, 0.0000) [2 per cell]
Ni (0.0000, 0.0000, 0.5000) [2 per cell]
Ni (0.0000, 0.2545, 0.2405) [8 per cell]
Ni (0.0000, 0.5000, 0.0000) [2 per cell]
Ni (0.0000, 0.5000, 0.5000) [2 per cell]
Ni (0.2404, 0.3774, 0.3689) [16 per cell]
Ni (0.2420, 0.3723, 0.1196) [16 per cell]


Theoretical PXRD pattern
Compound: Sc2FeNi
Radiation: Cu Kα, 1.54184 Å
Structure: a structure optimized by DFT (PBE)
Lines closer than 0.1° are merged.

Largest 10 diffraction maxima, in order of rising 2θ, 10° ≤ 2θ ≤ 90°:
- 2θ 22.9, I = 138, hkl 2 0 -1
- 2θ 36.2, I = 159, hkl 1 1 -1
- 2θ 38.1, I = 409, hkl 4 0 0
- 2θ 39.0, I = 345, hkl 2 0 -2
- 2θ 39.4, I = 1000, hkl 1 1 1
- 2θ 40.3, I = 164, hkl 0 0 2
- 2θ 42.0, I = 158, hkl 3 1 0
- 2θ 42.7, I = 632, hkl 3 1 -1
- 2θ 50.1, I = 164, hkl 2 0 2
- 2θ 77.9, I = 129, hkl 7 1 -2

Crystal structure
Cell lengths 9.9083, 2.9416, 4.6982 Å; angles 90.00, 107.66, 90.00 degrees
Space group Cm (No. 8)
Asymmetric unit:
Sc (0.0000, 0.0000, 0.0000) [2 per cell]
Sc (0.2056, 0.0000, 0.6275) [2 per cell]
Fe (0.4466, 0.0000, 0.4710) [2 per cell]
Ni (0.2496, 0.5000, 0.1450) [2 per cell]


Theoretical PXRD pattern
Compound: FeSiNi2
Radiation: Cu Kα, 1.54184 Å
Structure: a structure optimized by DFT (PBE)
Lines closer than 0.1° are merged.

Largest 10 diffraction maxima, in order of rising 2θ, 10° ≤ 2θ ≤ 90°:
- 2θ 22.1, I = 107, hkl 2 0 0
- 2θ 44.1, I = 1000, hkl 1 1 1
- 2θ 44.4, I = 479, hkl 2 0 -2
- 2θ 45.0, I = 442, hkl 4 0 0
- 2θ 50.1, I = 649, hkl 3 1 -1
- 2θ 54.9, I = 241, hkl 2 0 2
- 2θ 77.1, I = 174, hkl 1 1 -3
- 2θ 77.9, I = 151, hkl 5 1 1
- 2θ 89.3, I = 115, hkl 2 2 -2
- 2θ 89.7, I = 117, hkl 4 2 0

Crystal structure
Cell lengths 8.2936, 2.6042, 4.2310 Å; angles 90.00, 103.91, 90.00 degrees
Space group C2/m (No. 12)
Asymmetric unit:
Fe (0.0000, 0.0000, 0.0000) [2 per cell]
Si (0.0000, 0.5000, 0.5000) [2 per cell]
Ni (0.2397, 0.0000, 0.7447) [4 per cell]


Theoretical PXRD pattern
Compound: Fe3SiNi12
Radiation: Cu Kα, 1.54184 Å
Structure: a structure optimized by DFT (PBE)
Lines closer than 0.1° are merged.

Largest 7 diffraction maxima, in order of rising 2θ, 10° ≤ 2θ ≤ 90°:
- 2θ 25.1, I = 7, hkl 1 0 0
- 2θ 36.0, I = 6, hkl 1 0 4
- 2θ 44.4, I = 1000, hkl 1 1 4
- 2θ 51.6, I = 313, hkl 2 0 0
- 2θ 52.1, I = 150, hkl 0 0 8
- 2θ 75.9, I = 90, hkl 2 2 0
- 2θ 76.4, I = 176, hkl 2 0 8

Crystal structure
Cell lengths 3.5447, 3.5447, 14.0378 Å; angles 90.00, 90.00, 90.00 degrees
Space group P4/mmm (No. 123)
Asymmetric unit:
Fe (0.0000, 0.0000, 0.0000) [1 per cell]
Fe (0.0000, 0.0000, 0.2514) [2 per cell]
Si (0.0000, 0.0000, 0.5000) [1 per cell]
Ni (0.0000, 0.5000, 0.1258) [4 per cell]
Ni (0.0000, 0.5000, 0.3775) [4 per cell]
Ni (0.5000, 0.5000, 0.0000) [1 per cell]
Ni (0.5000, 0.5000, 0.2517) [2 per cell]
Ni (0.5000, 0.5000, 0.5000) [1 per cell]


Theoretical PXRD pattern
Compound: Fe6SiNi2
Radiation: Cu Kα, 1.54184 Å
Structure: a structure optimized by DFT (PBE)
Lines closer than 0.1° are merged.

Largest 10 diffraction maxima, in order of rising 2θ, 10° ≤ 2θ ≤ 90°:
- 2θ 20.4, I = 1000, hkl 1 1 0
- 2θ 23.9, I = 358, hkl 0 2 0
- 2θ 34.4, I = 253, hkl 2 0 -1
- 2θ 41.3, I = 314, hkl 2 0 -2
- 2θ 43.7, I = 844, hkl 1 3 1
- 2θ 44.4, I = 701, hkl 0 0 3
- 2θ 45.9, I = 949, hkl 2 2 1
- 2θ 48.3, I = 832, hkl 2 2 -2
- 2θ 48.6, I = 747, hkl 1 3 -2
- 2θ 52.6, I = 305, hkl 3 1 -1

Crystal structure
Cell lengths 5.4251, 7.4489, 6.1939 Å; angles 90.00, 98.60, 90.00 degrees
Space group C2/m (No. 12)
Asymmetric unit:
Fe (0.1091, 0.0000, 0.3227) [4 per cell]
Fe (0.2104, 0.2049, 0.6774) [8 per cell]
Si (0.0000, 0.5000, 0.5000) [2 per cell]
Ni (0.0000, 0.1812, 0.0000) [4 per cell]


Theoretical PXRD pattern
Compound: FeSiNi14
Radiation: Cu Kα, 1.54184 Å
Structure: a structure optimized by DFT (PBE)
Lines closer than 0.1° are merged.

Largest 8 diffraction maxima, in order of rising 2θ, 10° ≤ 2θ ≤ 90°:
- 2θ 12.7, I = 7, hkl 0 0 1
- 2θ 21.9, I = 6, hkl 1 0 1
- 2θ 28.3, I = 6, hkl 1 1 1
- 2θ 44.6, I = 1000, hkl 2 0 2
- 2θ 51.7, I = 314, hkl 2 2 0
- 2θ 52.4, I = 150, hkl 0 0 4
- 2θ 76.2, I = 90, hkl 4 0 0
- 2θ 76.8, I = 177, hkl 2 2 4

Crystal structure
Cell lengths 4.9968, 4.9968, 6.9792 Å; angles 90.00, 90.00, 90.00 degrees
Space group P4/mmm (No. 123)
Asymmetric unit:
Fe (0.0000, 0.0000, 0.0000) [1 per cell]
Si (0.5000, 0.5000, 0.0000) [1 per cell]
Ni (0.0000, 0.0000, 0.5000) [1 per cell]
Ni (0.0000, 0.5000, 0.0000) [2 per cell]
Ni (0.0000, 0.5000, 0.5000) [2 per cell]
Ni (0.2515, 0.2515, 0.2482) [8 per cell]
Ni (0.5000, 0.5000, 0.5000) [1 per cell]


Theoretical PXRD pattern
Compound: UFe2Si2Ni
Radiation: Cu Kα, 1.54184 Å
Structure: a structure optimized by DFT (PBE)
Lines closer than 0.1° are merged.

Largest 10 diffraction maxima, in order of rising 2θ, 10° ≤ 2θ ≤ 90°:
- 2θ 20.7, I = 505, hkl 1 0 0
- 2θ 27.2, I = 408, hkl 1 0 1
- 2θ 29.4, I = 935, hkl 1 1 0
- 2θ 34.5, I = 520, hkl 1 1 1
- 2θ 41.4, I = 1000, hkl 1 0 2
- 2θ 42.1, I = 619, hkl 2 0 0
- 2θ 50.9, I = 163, hkl 2 1 1
- 2θ 60.5, I = 639, hkl 2 1 2
- 2θ 61.1, I = 202, hkl 2 2 0
- 2θ 89.9, I = 172, hkl 2 0 4

Crystal structure
Cell lengths 4.2899, 4.2899, 5.0681 Å; angles 90.00, 90.00, 90.00 degrees
Space group P4/mmm (No. 123)
Asymmetric unit:
U (0.0000, 0.0000, 0.0000) [1 per cell]
Fe (0.5000, 0.5000, 0.2368) [2 per cell]
Si (0.0000, 0.5000, 0.5000) [2 per cell]
Ni (0.0000, 0.0000, 0.5000) [1 per cell]


Copy entry 3 word for word.
Theoretical PXRD pattern
Compound: FeSiNi2
Radiation: Cu Kα, 1.54184 Å
Structure: a structure optimized by DFT (PBE)
Lines closer than 0.1° are merged.

Largest 10 diffraction maxima, in order of rising 2θ, 10° ≤ 2θ ≤ 90°:
- 2θ 22.1, I = 107, hkl 2 0 0
- 2θ 44.1, I = 1000, hkl 1 1 1
- 2θ 44.4, I = 479, hkl 2 0 -2
- 2θ 45.0, I = 442, hkl 4 0 0
- 2θ 50.1, I = 649, hkl 3 1 -1
- 2θ 54.9, I = 241, hkl 2 0 2
- 2θ 77.1, I = 174, hkl 1 1 -3
- 2θ 77.9, I = 151, hkl 5 1 1
- 2θ 89.3, I = 115, hkl 2 2 -2
- 2θ 89.7, I = 117, hkl 4 2 0

Crystal structure
Cell lengths 8.2936, 2.6042, 4.2310 Å; angles 90.00, 103.91, 90.00 degrees
Space group C2/m (No. 12)
Asymmetric unit:
Fe (0.0000, 0.0000, 0.0000) [2 per cell]
Si (0.0000, 0.5000, 0.5000) [2 per cell]
Ni (0.2397, 0.0000, 0.7447) [4 per cell]